This entry pairs a crystal structure of Nd3Tm4Al with its computed X-ray diffraction stick pattern. Radiation: Cu Kα. Structure: a cell relaxed with GGA-PBE.
Lines closer than 0.1° are merged.

Principal peaks in the range 2θ = 10–90°, low angle first:
2θ 28.8, rel. 20; 2θ 31.4, rel. 100; 2θ 32.9, rel. 13; 2θ 35.7, rel. 44; 2θ 49.3, rel. 17; 2θ 51.3, rel. 16; 2θ 52.9, rel. 11; 2θ 59.4, rel. 17; 2θ 61.4, rel. 30; 2θ 62.3, rel. 8; 2θ 82.3, rel. 14; 2θ 86.4, rel. 7

Structural model:
```
data_Nd3Tm4Al
_space_group_name_H-M_alt 'P 1'
_space_group_IT_number 1
_space_group_name_Hall 'P 1'
_cell_length_a 3.5598
_cell_length_b 3.5598
_cell_length_c 19.0447
_cell_angle_alpha 90.00
_cell_angle_beta 90.00
_cell_angle_gamma 90.00
loop_
_atom_site_label
_atom_site_type_symbol
_atom_site_fract_x
_atom_site_fract_y
_atom_site_fract_z
Nd1 Nd 0.0000 0.0000 0.0000
Nd2 Nd 0.0000 0.0000 0.2683
Nd3 Nd 0.0000 0.0000 0.7317
Tm1 Tm 0.5000 0.5000 0.1334
Tm2 Tm 0.5000 0.5000 0.4033
Tm3 Tm 0.5000 0.5000 0.5967
Tm4 Tm 0.5000 0.5000 0.8666
Al1 Al 0.0000 0.0000 0.5000
```

This entry pairs a crystal structure of Nd2Tm3Al3 with its computed X-ray diffraction stick pattern. Radiation: Cu Kα. Structure: a cell relaxed with GGA-PBE.
Lines closer than 0.1° are merged.

Principal peaks in the range 2θ = 10–90°, low angle first:
2θ 24.5, rel. 28; 2θ 26.9, rel. 44; 2θ 32.8, rel. 19; 2θ 34.2, rel. 100; 2θ 35.3, rel. 26; 2θ 43.4, rel. 13; 2θ 44.7, rel. 17; 2θ 48.9, rel. 12; 2θ 57.1, rel. 11; 2θ 58.2, rel. 15; 2θ 62.1, rel. 10; 2θ 62.6, rel. 17

Structural model:
```
data_Nd2Tm3Al3
_space_group_name_H-M_alt 'P 1'
_space_group_IT_number 1
_space_group_name_Hall 'P 1'
_cell_length_a 11.3655
_cell_length_b 11.3655
_cell_length_c 11.3655
_cell_angle_alpha 161.31
_cell_angle_beta 154.12
_cell_angle_gamma 32.12
loop_
_atom_site_label
_atom_site_type_symbol
_atom_site_fract_x
_atom_site_fract_y
_atom_site_fract_z
Nd1 Nd 0.2283 0.2283 0.0000
Nd2 Nd 0.7717 0.7717 0.0000
Tm1 Tm 0.0000 0.0000 0.0000
Tm2 Tm 0.3840 0.8840 0.5000
Tm3 Tm 0.6160 0.1160 0.5000
Al1 Al 0.1112 0.6112 0.5000
Al2 Al 0.5000 0.5000 0.0000
Al3 Al 0.8888 0.3888 0.5000
```

This entry pairs a crystal structure of Nd2Tm4Al with its computed X-ray diffraction stick pattern. Radiation: Cu Kα. Structure: a cell relaxed with GGA-PBE.
Lines closer than 0.1° are merged.

Principal peaks in the range 2θ = 10–90°, low angle first:
2θ 28.1, rel. 24; 2θ 28.8, rel. 16; 2θ 29.0, rel. 17; 2θ 29.8, rel. 16; 2θ 31.4, rel. 37; 2θ 32.9, rel. 100; 2θ 33.7, rel. 34; 2θ 43.1, rel. 16; 2θ 51.0, rel. 32; 2θ 55.3, rel. 16; 2θ 59.2, rel. 18; 2θ 62.0, rel. 28

Structural model:
```
data_Nd2Tm4Al
_space_group_name_H-M_alt 'P 1'
_space_group_IT_number 1
_space_group_name_Hall 'P 1'
_cell_length_a 19.1431
_cell_length_b 19.1431
_cell_length_c 19.1431
_cell_angle_alpha 10.74
_cell_angle_beta 10.74
_cell_angle_gamma 10.74
loop_
_atom_site_label
_atom_site_type_symbol
_atom_site_fract_x
_atom_site_fract_y
_atom_site_fract_z
Nd1 Nd 0.1946 0.1946 0.1946
Nd2 Nd 0.8054 0.8054 0.8054
Tm1 Tm 0.0885 0.0885 0.0885
Tm2 Tm 0.2944 0.2944 0.2944
Tm3 Tm 0.7056 0.7056 0.7056
Tm4 Tm 0.9115 0.9115 0.9115
Al1 Al 0.0000 0.0000 0.0000
```

This entry pairs a crystal structure of NdYTmAl with its computed X-ray diffraction stick pattern. Radiation: Cu Kα. Structure: a cell relaxed with GGA-PBE.
Lines closer than 0.1° are merged.

Principal peaks in the range 2θ = 10–90°, low angle first:
2θ 27.1, rel. 38; 2θ 29.6, rel. 18; 2θ 32.1, rel. 100; 2θ 36.0, rel. 43; 2θ 47.2, rel. 20; 2θ 51.8, rel. 15; 2θ 54.7, rel. 13; 2θ 57.1, rel. 16; 2θ 59.4, rel. 9; 2θ 60.8, rel. 9; 2θ 62.3, rel. 30; 2θ 80.7, rel. 12

Structural model:
```
data_NdYTmAl
_space_group_name_H-M_alt 'P 1'
_space_group_IT_number 1
_space_group_name_Hall 'P 1'
_cell_length_a 3.5309
_cell_length_b 3.5309
_cell_length_c 9.0606
_cell_angle_alpha 90.00
_cell_angle_beta 90.00
_cell_angle_gamma 90.00
loop_
_atom_site_label
_atom_site_type_symbol
_atom_site_fract_x
_atom_site_fract_y
_atom_site_fract_z
Nd1 Nd 0.0000 0.0000 0.0000
Y1 Y 0.5000 0.5000 0.7026
Tm1 Tm 0.5000 0.5000 0.2861
Al1 Al 0.0000 0.0000 0.4911
```

This entry pairs a crystal structure of Nd4YAl4 with its computed X-ray diffraction stick pattern. Radiation: Cu Kα. Structure: a cell relaxed with GGA-PBE.
Lines closer than 0.1° are merged.

Principal peaks in the range 2θ = 10–90°, low angle first:
2θ 17.7, rel. 34; 2θ 24.8, rel. 38; 2θ 26.7, rel. 74; 2θ 31.2, rel. 100; 2θ 31.7, rel. 99; 2θ 32.0, rel. 54; 2θ 33.6, rel. 66; 2θ 35.1, rel. 58; 2θ 39.3, rel. 50; 2θ 45.4, rel. 29; 2θ 47.4, rel. 31; 2θ 51.9, rel. 42

Structural model:
```
data_Nd4YAl4
_space_group_name_H-M_alt 'P 1'
_space_group_IT_number 1
_space_group_name_Hall 'P 1'
_cell_length_a 8.9291
_cell_length_b 8.9291
_cell_length_c 6.0541
_cell_angle_alpha 90.00
_cell_angle_beta 90.00
_cell_angle_gamma 90.00
loop_
_atom_site_label
_atom_site_type_symbol
_atom_site_fract_x
_atom_site_fract_y
_atom_site_fract_z
Nd1 Nd 0.0793 0.8246 0.1261
Nd2 Nd 0.1754 0.5793 0.6261
Nd3 Nd 0.3246 0.9207 0.6261
Nd4 Nd 0.4207 0.6754 0.1261
Nd5 Nd 0.5793 0.3246 0.8739
Nd6 Nd 0.6754 0.0793 0.3739
Nd7 Nd 0.8246 0.4207 0.3739
Nd8 Nd 0.9207 0.1754 0.8739
Y1 Y 0.2500 0.2500 0.7500
Y2 Y 0.7500 0.7500 0.2500
Al1 Al 0.0628 0.1591 0.3537
Al2 Al 0.1591 0.4372 0.1463
Al3 Al 0.3409 0.0628 0.1463
Al4 Al 0.4372 0.3409 0.3537
Al5 Al 0.5628 0.6591 0.6463
Al6 Al 0.6591 0.9372 0.8537
Al7 Al 0.8409 0.5628 0.8537
Al8 Al 0.9372 0.8409 0.6463
```

This entry pairs a crystal structure of Nd2YAl3 with its computed X-ray diffraction stick pattern. Radiation: Cu Kα. Structure: a cell relaxed with GGA-PBE.
Lines closer than 0.1° are merged.

Principal peaks in the range 2θ = 10–90°, low angle first:
2θ 24.1, rel. 42; 2θ 24.2, rel. 21; 2θ 34.4, rel. 100; 2θ 34.5, rel. 20; 2θ 42.4, rel. 19; 2θ 49.5, rel. 14; 2θ 55.6, rel. 9; 2θ 55.8, rel. 15; 2θ 61.5, rel. 14; 2θ 61.6, rel. 29; 2θ 72.4, rel. 9; 2θ 82.8, rel. 8

Structural model:
```
data_Nd2YAl3
_space_group_name_H-M_alt 'P 1'
_space_group_IT_number 1
_space_group_name_Hall 'P 1'
_cell_length_a 5.2060
_cell_length_b 7.3967
_cell_length_c 8.2384
_cell_angle_alpha 90.00
_cell_angle_beta 108.35
_cell_angle_gamma 90.00
loop_
_atom_site_label
_atom_site_type_symbol
_atom_site_fract_x
_atom_site_fract_y
_atom_site_fract_z
Nd1 Nd 0.0000 0.0000 0.0000
Nd2 Nd 0.0000 0.5000 0.0000
Nd3 Nd 0.3359 0.0000 0.6718
Nd4 Nd 0.6641 0.0000 0.3282
Y1 Y 0.3326 0.5000 0.6653
Y2 Y 0.6674 0.5000 0.3347
Al1 Al 0.1694 0.2588 0.3389
Al2 Al 0.1694 0.7412 0.3389
Al3 Al 0.5000 0.2601 0.0000
Al4 Al 0.5000 0.7399 0.0000
Al5 Al 0.8306 0.2588 0.6611
Al6 Al 0.8306 0.7412 0.6611
```

This entry pairs a crystal structure of NdAl3Zn2 with its computed X-ray diffraction stick pattern. Radiation: Cu Kα. Structure: a cell relaxed with GGA-PBE.
Lines closer than 0.1° are merged.

Principal peaks in the range 2θ = 10–90°, low angle first:
2θ 15.2, rel. 87; 2θ 26.8, rel. 48; 2θ 27.2, rel. 35; 2θ 27.8, rel. 34; 2θ 32.3, rel. 100; 2θ 34.8, rel. 56; 2θ 35.3, rel. 88; 2θ 35.8, rel. 38; 2θ 35.9, rel. 95; 2θ 40.9, rel. 71; 2θ 41.5, rel. 59; 2θ 59.7, rel. 39

Structural model:
```
data_NdAl3Zn2
_space_group_name_H-M_alt 'P 1'
_space_group_IT_number 1
_space_group_name_Hall 'P 1'
_cell_length_a 8.2362
_cell_length_b 8.2362
_cell_length_c 6.8159
_cell_angle_alpha 105.43
_cell_angle_beta 105.43
_cell_angle_gamma 31.05
loop_
_atom_site_label
_atom_site_type_symbol
_atom_site_fract_x
_atom_site_fract_y
_atom_site_fract_z
Nd1 Nd 0.1185 0.1185 0.1914
Nd2 Nd 0.8815 0.8815 0.8086
Al1 Al 0.0666 0.0666 0.6798
Al2 Al 0.3031 0.3031 0.0740
Al3 Al 0.3731 0.3731 0.4853
Al4 Al 0.6269 0.6269 0.5147
Al5 Al 0.6969 0.6969 0.9260
Al6 Al 0.9334 0.9334 0.3202
Zn1 Zn 0.2341 0.2341 0.6684
Zn2 Zn 0.4745 0.4745 0.1618
Zn3 Zn 0.5255 0.5255 0.8382
Zn4 Zn 0.7659 0.7659 0.3316
```

This entry pairs a crystal structure of NdAl5Zn7 with its computed X-ray diffraction stick pattern. Radiation: Cu Kα. Structure: a cell relaxed with GGA-PBE.
Lines closer than 0.1° are merged.

Principal peaks in the range 2θ = 10–90°, low angle first:
2θ 20.1, rel. 22; 2θ 27.3, rel. 23; 2θ 32.0, rel. 73; 2θ 33.8, rel. 55; 2θ 34.4, rel. 36; 2θ 37.9, rel. 27; 2θ 38.1, rel. 41; 2θ 39.7, rel. 75; 2θ 40.0, rel. 100; 2θ 40.9, rel. 23; 2θ 43.2, rel. 22; 2θ 72.6, rel. 27

Structural model:
```
data_NdAl5Zn7
_space_group_name_H-M_alt 'P 1'
_space_group_IT_number 1
_space_group_name_Hall 'P 1'
_cell_length_a 6.9026
_cell_length_b 6.9026
_cell_length_c 6.9026
_cell_angle_alpha 132.23
_cell_angle_beta 98.38
_cell_angle_gamma 100.49
loop_
_atom_site_label
_atom_site_type_symbol
_atom_site_fract_x
_atom_site_fract_y
_atom_site_fract_z
Nd1 Nd 0.0000 0.0000 0.0000
Al1 Al 0.2186 0.7186 0.5000
Al2 Al 0.5004 0.4948 0.5025
Al3 Al 0.5004 0.9979 0.0055
Al4 Al 0.9923 0.4948 0.9945
Al5 Al 0.9923 0.9979 0.4975
Zn1 Zn 0.2135 0.4975 0.7160
Zn2 Zn 0.3507 0.9952 0.3555
Zn3 Zn 0.3519 0.3519 0.0000
Zn4 Zn 0.6397 0.9952 0.6445
Zn5 Zn 0.6420 0.6420 0.0000
Zn6 Zn 0.7807 0.2807 0.5000
Zn7 Zn 0.7815 0.4975 0.2840
```

This entry pairs a crystal structure of Nd3Al4Zn4 with its computed X-ray diffraction stick pattern. Radiation: Cu Kα. Structure: a cell relaxed with GGA-PBE.
Lines closer than 0.1° are merged.

Principal peaks in the range 2θ = 10–90°, low angle first:
2θ 22.8, rel. 17; 2θ 28.0, rel. 37; 2θ 32.4, rel. 100; 2θ 36.4, rel. 38; 2θ 40.0, rel. 11; 2θ 43.3, rel. 11; 2θ 49.5, rel. 18; 2θ 52.4, rel. 27; 2θ 55.1, rel. 13; 2θ 57.8, rel. 23; 2θ 72.6, rel. 18; 2θ 81.8, rel. 13

Structural model:
```
data_Nd3Al4Zn4
_space_group_name_H-M_alt 'P 1'
_space_group_IT_number 1
_space_group_name_Hall 'P 1'
_cell_length_a 6.7667
_cell_length_b 6.7667
_cell_length_c 6.7667
_cell_angle_alpha 109.47
_cell_angle_beta 109.47
_cell_angle_gamma 109.47
loop_
_atom_site_label
_atom_site_type_symbol
_atom_site_fract_x
_atom_site_fract_y
_atom_site_fract_z
Nd1 Nd 0.0000 0.5000 0.5000
Nd2 Nd 0.5000 0.0000 0.5000
Nd3 Nd 0.5000 0.5000 0.0000
Al1 Al 0.0000 0.0000 0.7396
Al2 Al 0.0000 0.7396 0.0000
Al3 Al 0.2604 0.2604 0.2604
Al4 Al 0.7396 0.0000 0.0000
Zn1 Zn 0.0000 0.0000 0.3801
Zn2 Zn 0.0000 0.3801 0.0000
Zn3 Zn 0.3801 0.0000 0.0000
Zn4 Zn 0.6199 0.6199 0.6199
```

This entry pairs a crystal structure of Nd2Al5Zn2 with its computed X-ray diffraction stick pattern. Radiation: Cu Kα. Structure: a cell relaxed with GGA-PBE.
Lines closer than 0.1° are merged.

Principal peaks in the range 2θ = 10–90°, low angle first:
2θ 17.6, rel. 35; 2θ 20.9, rel. 13; 2θ 27.4, rel. 62; 2θ 29.8, rel. 50; 2θ 34.8, rel. 100; 2θ 41.6, rel. 53; 2θ 42.6, rel. 49; 2θ 46.4, rel. 12; 2θ 51.4, rel. 22; 2θ 61.1, rel. 33; 2θ 61.8, rel. 16; 2θ 72.9, rel. 23

Structural model:
```
data_Nd2Al5Zn2
_space_group_name_H-M_alt 'P 1'
_space_group_IT_number 1
_space_group_name_Hall 'P 1'
_cell_length_a 4.2460
_cell_length_b 4.2460
_cell_length_c 10.1026
_cell_angle_alpha 90.00
_cell_angle_beta 90.00
_cell_angle_gamma 90.00
loop_
_atom_site_label
_atom_site_type_symbol
_atom_site_fract_x
_atom_site_fract_y
_atom_site_fract_z
Nd1 Nd 0.0000 0.0000 0.0000
Nd2 Nd 0.0000 0.0000 0.5000
Al1 Al 0.0000 0.5000 0.2285
Al2 Al 0.0000 0.5000 0.7715
Al3 Al 0.5000 0.0000 0.2285
Al4 Al 0.5000 0.0000 0.7715
Al5 Al 0.5000 0.5000 0.0000
Zn1 Zn 0.5000 0.5000 0.3817
Zn2 Zn 0.5000 0.5000 0.6183
```